For Lu5Ga3, a DFT-relaxed cell (PBE, the Materials Project) gives the simulated XRD peak list in this record (Cu Ka).
Kinematic intensities with the Lorentz-polarization factor, no thermal factor.

Top 10 peaks for 2θ from 10° to 90°, low angle first:
- 2θ = 24.3°, d = 3.659 Å, I = 8, (2 0 0)
- 2θ = 25.4°, d = 3.513 Å, I = 9, (1 1 1)
- 2θ = 30.8°, d = 2.902 Å, I = 19, (1 0 2)
- 2θ = 32.4°, d = 2.766 Å, I = 23, (2 1 0)
- 2θ = 35.4°, d = 2.533 Å, I = 100, (1 1 2)
- 2θ = 36.8°, d = 2.439 Å, I = 19, (3 0 0)
- 2θ = 52.1°, d = 1.756 Å, I = 12, (2 2 2)
- 2θ = 54.8°, d = 1.677 Å, I = 17, (2 1 3)
- 2θ = 57.7°, d = 1.597 Å, I = 9, (4 1 0)
- 2θ = 58.3°, d = 1.583 Å, I = 13, (4 0 2)

Cell and atoms:
```
data_Lu5Ga3
_chemical_formula_sum 'Lu10 Ga6'
_symmetry_space_group_name_H-M 'P 63/m c m'
_symmetry_Int_Tables_number 193
_symmetry_space_group_name_Hall '-P 6c 2'
_cell_length_a 8.4499
_cell_length_b 8.4499
_cell_length_c 6.3226
_cell_angle_alpha 90.00
_cell_angle_beta 90.00
_cell_angle_gamma 120.00
loop_
_atom_site_label
_atom_site_type_symbol
_atom_site_fract_x
_atom_site_fract_y
_atom_site_fract_z
Lu1 Lu 0.0000 0.2414 0.2500
Lu2 Lu 0.3333 0.6667 0.0000
Ga1 Ga 0.0000 0.4012 0.7500
```

---

For Lu3Ga5, a DFT-relaxed cell (PBE, the Materials Project) gives the simulated XRD peak list in this record (Cu Ka).
Kinematic intensities with the Lorentz-polarization factor, no thermal factor.

Top 10 peaks for 2θ from 10° to 90°, low angle first:
- 2θ = 28.7°, d = 3.115 Å, I = 57, (2 2 1)
- 2θ = 30.7°, d = 2.910 Å, I = 46, (1 0 2)
- 2θ = 33.9°, d = 2.644 Å, I = 76, (3 2 1)
- 2θ = 35.4°, d = 2.537 Å, I = 48, (4 0 1)
- 2θ = 36.1°, d = 2.487 Å, I = 100, (1 2 2)
- 2θ = 37.2°, d = 2.415 Å, I = 77, (4 2 0)
- 2θ = 37.5°, d = 2.395 Å, I = 89, (0 4 0)
- 2θ = 38.4°, d = 2.344 Å, I = 83, (3 0 2)
- 2θ = 42.0°, d = 2.151 Å, I = 66, (1 3 2)
- 2θ = 54.8°, d = 1.675 Å, I = 37, (3 4 2)

Cell and atoms:
```
data_Lu3Ga5
_chemical_formula_sum 'Lu12 Ga20'
_symmetry_space_group_name_H-M 'P n m a'
_symmetry_Int_Tables_number 62
_symmetry_space_group_name_Hall '-P 2ac 2n'
_cell_length_a 11.1857
_cell_length_b 9.5818
_cell_length_c 6.0280
_cell_angle_alpha 90.00
_cell_angle_beta 90.00
_cell_angle_gamma 90.00
loop_
_atom_site_label
_atom_site_type_symbol
_atom_site_fract_x
_atom_site_fract_y
_atom_site_fract_z
Lu1 Lu 0.0721 0.2500 0.1521
Lu2 Lu 0.1470 0.5108 0.6109
Ga1 Ga 0.0073 0.2500 0.6275
Ga2 Ga 0.0913 0.5513 0.1275
Ga3 Ga 0.2006 0.7500 0.8933
Ga4 Ga 0.2503 0.2500 0.8234
```